1.
Calculated powder XRD pattern of RbDyI3 for Cu Kα (λ = 1.5418 Å), from a crystal structure in the Materials Project, relaxed with GGA-PBE.
Intensities are scaled so that the largest is 100.

Crystal structure
```
data_RbDyI3
_cell_length_a 4.4767
_cell_length_b 15.9516
_cell_length_c 11.7573
_cell_angle_alpha 90.00
_cell_angle_beta 90.00
_cell_angle_gamma 90.00
_space_group_name_H-M_alt 'C m c m'
_space_group_IT_number 63
_space_group_name_Hall '-C 2c 2'
loop_
_atom_site_label
_atom_site_fract_x
_atom_site_fract_y
_atom_site_fract_z
Rb1 0.0000 0.2463 0.2500
Dy1 0.0000 0.0000 0.0000
I1 0.0000 0.0662 0.7500
I2 0.0000 0.3695 0.5495
```

The 10 most intense peaks (15° ≤ 2θ ≤ 90°), low angle first:
(hkl)  2theta  intensity
0 2 3  25.3  60
1 3 0  26.0  100
1 3 1  27.1  77
1 3 2  30.2  73
0 0 4  30.4  45
0 6 2  37.1  65
1 5 2  37.9  53
2 0 0  40.3  40
1 3 5  46.9  35
0 8 2  48.2  39

=====

2.
Calculated powder XRD pattern of K2SbF5 for Cu Kα (λ = 1.5418 Å), from a crystal structure in the Materials Project, relaxed with GGA-PBE.
Intensities are scaled so that the largest is 100.

Crystal structure
```
data_K2SbF5
_cell_length_a 6.4009
_cell_length_b 14.0628
_cell_length_c 6.6347
_cell_angle_alpha 90.00
_cell_angle_beta 90.00
_cell_angle_gamma 90.00
_space_group_name_H-M_alt 'C m c m'
_space_group_IT_number 63
_space_group_name_Hall '-C 2c 2'
loop_
_atom_site_label
_atom_site_fract_x
_atom_site_fract_y
_atom_site_fract_z
K1 0.0000 0.0722 0.2500
K2 0.0000 0.2518 0.7500
Sb1 0.0000 0.4068 0.2500
F1 0.0000 0.2655 0.2500
F2 0.2337 0.3802 0.0313
```

The 10 most intense peaks (15° ≤ 2θ ≤ 90°), low angle first:
(hkl)  2theta  intensity
1 1 0  15.2  30
0 2 1  18.4  37
1 1 1  20.3  26
0 0 2  26.9  17
1 3 1  27.1  100
2 0 0  27.9  14
2 0 2  39.1  47
1 3 3  47.6  19
3 3 1  48.9  18
2 6 2  56.0  17

=====

3.
Calculated powder XRD pattern of W for Cu Kα (λ = 1.5418 Å), from a crystal structure in the Materials Project, relaxed with GGA-PBE.
Intensities are scaled so that the largest is 100.

Crystal structure
```
data_W
_cell_length_a 2.6691
_cell_length_b 2.6691
_cell_length_c 19.3275
_cell_angle_alpha 90.00
_cell_angle_beta 90.00
_cell_angle_gamma 90.00
_space_group_name_H-M_alt 'I 41/a m d'
_space_group_IT_number 141
loop_
_space_group_symop_operation_xyz
'x,y,z'
'-x,-y,-z'
'-y+1/4,x+3/4,z+1/4'
'y+1/4,-x+3/4,-z+1/4'
'-x+1/2,-y,z+1/2'
'x+1/2,y,-z+1/2'
'y+1/4,-x+1/4,z+3/4'
'-y+1/4,x+1/4,-z+3/4'
'x,-y,-z'
'-x,y,z'
'-y+1/4,-x+1/4,-z+3/4'
'y+1/4,x+1/4,z+3/4'
'-x+1/2,y,-z+1/2'
'x+1/2,-y,z+1/2'
'y+1/4,x+3/4,-z+1/4'
'-y+1/4,-x+3/4,z+1/4'
'x+1/2,y+1/2,z+1/2'
'-x+1/2,-y+1/2,-z+1/2'
'-y+3/4,x+1/4,z+3/4'
'y+3/4,-x+1/4,-z+3/4'
'-x,-y+1/2,z'
'x,y+1/2,-z'
'y+3/4,-x+3/4,z+1/4'
'-y+3/4,x+3/4,-z+1/4'
'x+1/2,-y+1/2,-z+1/2'
'-x+1/2,y+1/2,z+1/2'
'-y+3/4,-x+3/4,-z+1/4'
'y+3/4,x+3/4,z+1/4'
'-x,y+1/2,-z'
'x,-y+1/2,z'
'y+3/4,x+1/4,-z+3/4'
'-y+3/4,-x+1/4,z+3/4'
loop_
_atom_site_label
_atom_site_fract_x
_atom_site_fract_y
_atom_site_fract_z
W1 0.0000 0.2500 0.0647
```

The 10 most intense peaks (15° ≤ 2θ ≤ 90°), low angle first:
(hkl)  2theta  intensity
1 0 1  33.9  20
1 0 3  36.4  100
0 0 8  37.2  57
1 0 5  41.1  79
1 1 2  49.2  55
1 1 6  56.5  29
1 1 10  69.6  24
2 1 3  82.1  20
2 0 8  82.6  24
2 1 5  85.1  20

=====

4.
Calculated powder XRD pattern of Li2TiPCO7 for Cu Kα (λ = 1.5418 Å), from a crystal structure in the Materials Project, relaxed with GGA-PBE.
Intensities are scaled so that the largest is 100.

Crystal structure
```
data_Li2TiPCO7
_cell_length_a 5.1147
_cell_length_b 6.3991
_cell_length_c 8.5975
_cell_angle_alpha 90.00
_cell_angle_beta 93.48
_cell_angle_gamma 90.00
_space_group_name_H-M_alt 'P 1 21/m 1'
_space_group_IT_number 11
loop_
_space_group_symop_operation_xyz
'x,y,z'
'-x,-y,-z'
'-x,y+1/2,-z'
'x,-y+1/2,z'
loop_
_atom_site_label
_atom_site_fract_x
_atom_site_fract_y
_atom_site_fract_z
Li1 0.2493 0.0091 0.2790
Ti1 0.2054 0.7500 0.8421
P1 0.2872 0.2500 0.9233
C1 0.2689 0.7500 0.5541
O1 0.0385 0.7500 0.6142
O2 0.1812 0.2500 0.0893
O3 0.1829 0.0561 0.8316
O4 0.2994 0.7500 0.4093
O5 0.4086 0.7500 0.0634
O6 0.4693 0.7500 0.6602
```

The 10 most intense peaks (15° ≤ 2θ ≤ 90°), low angle first:
(hkl)  2theta  intensity
0 1 1  17.3  44
1 0 -1  19.7  33
1 0 1  20.8  35
1 1 1  25.0  45
1 0 -2  26.3  45
0 2 0  27.9  100
1 0 -3  35.0  22
2 0 0  35.2  21
2 0 -1  36.1  19
2 0 -3  46.2  19

=====

5.
Calculated powder XRD pattern of BaAs2Pd for Cu Kα (λ = 1.5418 Å), from a crystal structure in the Materials Project, relaxed with GGA-PBE.
Intensities are scaled so that the largest is 100.

Crystal structure
```
data_BaAs2Pd
_cell_length_a 4.7571
_cell_length_b 17.5147
_cell_length_c 4.6431
_cell_angle_alpha 90.00
_cell_angle_beta 90.00
_cell_angle_gamma 90.00
_space_group_name_H-M_alt 'C m c m'
_space_group_IT_number 63
_space_group_name_Hall '-C 2c 2'
loop_
_atom_site_label
_atom_site_fract_x
_atom_site_fract_y
_atom_site_fract_z
Ba1 0.0000 0.1056 0.2500
As1 0.0000 0.2497 0.7500
As2 0.0000 0.4625 0.2500
Pd1 0.0000 0.3139 0.2500
```

The 10 most intense peaks (15° ≤ 2θ ≤ 90°), low angle first:
(hkl)  2theta  intensity
1 1 1  27.3  47
1 3 1  31.0  100
1 5 0  31.7  71
0 6 1  36.4  45
2 0 0  37.8  52
0 0 2  38.8  48
1 5 2  50.9  37
2 6 1  53.5  29
2 0 2  55.3  34
1 11 1  64.9  18